# LaTaCrO6
Simulated powder XRD pattern, CuKα. Input: the GGA+U geometry in Alexandria.

```
LaTaCrO6
1.0
5.478 0.000 0.000
-2.715 4.774 0.000
-0.037 -3.155 4.497
La Ta Cr O
1 1 1 6
Cartesian
0.000 0.000 0.000 La
0.014 0.026 3.386 Ta
2.754 1.594 1.158 Cr
-1.139 0.861 2.042 O
1.266 2.182 0.188 O
1.613 0.589 2.374 O
2.894 -3.110 4.461 O
2.710 3.046 2.391 O
3.922 -0.512 4.469 O
```

The 10 most intense peaks (15° ≤ 2θ ≤ 90°), by angle:
2θ/deg	I/Imax	hkl
19.77	100	1 -1 0
22.80	18	0 1 0
32.49	73	1 0 1
32.64	73	0 1 -2
38.24	19	1 1 0
38.37	19	-2 1 1
38.55	19	1 -2 2
46.47	17	0 2 0
46.68	15	2 0 -2
58.02	16	1 0 -3